Entry 1:
The following is a calculated X-ray powder pattern of NpNiSn. It was derived from a structure optimized by DFT (PBE), using λ = 1.5418 Å (Cu Kα).
Lines closer than 0.1° are merged.

Structural model:
Lattice parameters (Å, degrees): 7.186 4.495 7.421 90.00 90.00 90.00
Element x y z (fractional)
Np  0.024  0.250  0.185
Np  0.476  0.750  0.685
Np  0.524  0.250  0.315
Np  0.976  0.750  0.815
Ni  0.201  0.750  0.415
Ni  0.299  0.250  0.915
Ni  0.701  0.750  0.085
Ni  0.799  0.250  0.585
Sn  0.177  0.250  0.589
Sn  0.323  0.750  0.089
Sn  0.677  0.250  0.911
Sn  0.823  0.750  0.411

Most intense lines, 10 to 90 degrees two-theta, in order of rising 2θ:
2θ = 23.13°, I 23
2θ = 33.71°, I 77
2θ = 34.15°, I 100
2θ = 34.75°, I 29
2θ = 38.49°, I 22
2θ = 39.53°, I 25
2θ = 40.12°, I 39
2θ = 41.68°, I 28
2θ = 54.11°, I 17
2θ = 67.13°, I 24



Entry 2:
The following is a calculated X-ray powder pattern of MgAl2B28. It was derived from a structure optimized by DFT (PBE), using λ = 1.5418 Å (Cu Kα).
Lines closer than 0.1° are merged.

Structural model:
Lattice parameters (Å, degrees): 7.109 7.109 5.889 114.22 114.22 91.46
Element x y z (fractional)
Mg  0.000  0.000  0.000
Al  0.245  0.245  0.752
Al  0.614  0.614  0.864
B  0.013  0.385  0.357
B  0.013  0.386  0.045
B  0.210  0.843  0.374
B  0.211  0.841  0.684
B  0.236  0.577  0.655
B  0.240  0.579  0.164
B  0.255  0.422  0.338
B  0.376  0.703  0.538
B  0.381  0.578  0.983
B  0.385  0.013  0.357
B  0.386  0.013  0.045
B  0.422  0.255  0.338
B  0.522  0.847  0.192
B  0.577  0.236  0.655
B  0.578  0.381  0.983
B  0.579  0.240  0.164
B  0.644  0.838  0.740
B  0.646  0.982  0.566
B  0.647  0.986  0.071
B  0.703  0.376  0.538
B  0.801  0.967  0.389
B  0.838  0.644  0.740
B  0.841  0.211  0.684
B  0.843  0.210  0.374
B  0.847  0.522  0.192
B  0.967  0.801  0.389
B  0.982  0.646  0.566
B  0.986  0.647  0.071

Most intense lines, 10 to 90 degrees two-theta, in order of rising 2θ:
2θ = 17.40°, I 25
2θ = 18.75°, I 27
2θ = 25.62°, I 100
2θ = 35.21°, I 50
2θ = 37.99°, I 44
2θ = 40.98°, I 60
2θ = 42.09°, I 63
2θ = 42.22°, I 37
2θ = 43.04°, I 39
2θ = 70.79°, I 28



Entry 3:
The following is a calculated X-ray powder pattern of Rh2C3N6. It was derived from a structure optimized by DFT (PBE), using λ = 1.5418 Å (Cu Kα).
Lines closer than 0.1° are merged.

Structural model:
Lattice parameters (Å, degrees): 9.906 9.906 9.906 32.86 32.86 32.86
Element x y z (fractional)
Rh  0.165  0.165  0.165
Rh  0.335  0.335  0.335
Rh  0.665  0.665  0.665
Rh  0.835  0.835  0.835
C  0.070  0.750  0.430
C  0.250  0.570  0.930
C  0.430  0.070  0.750
C  0.570  0.930  0.250
C  0.750  0.430  0.070
C  0.930  0.250  0.570
N  0.042  0.663  0.416
N  0.084  0.837  0.458
N  0.163  0.542  0.916
N  0.337  0.584  0.958
N  0.416  0.042  0.663
N  0.458  0.084  0.837
N  0.542  0.916  0.163
N  0.584  0.958  0.337
N  0.663  0.416  0.042
N  0.837  0.458  0.084
N  0.916  0.163  0.542
N  0.958  0.337  0.584

Most intense lines, 10 to 90 degrees two-theta, in order of rising 2θ:
2θ = 18.96°, I 61
2θ = 19.35°, I 72
2θ = 22.27°, I 55
2θ = 31.94°, I 37
2θ = 37.41°, I 100
2θ = 50.83°, I 43
2θ = 56.93°, I 24
2θ = 60.56°, I 17
2θ = 68.88°, I 16
2θ = 70.12°, I 15



Entry 4:
The following is a calculated X-ray powder pattern of Pr2C3. It was derived from a structure optimized by DFT (PBE), using λ = 1.5418 Å (Cu Kα).
Lines closer than 0.1° are merged.

Structural model:
Lattice parameters (Å, degrees): 7.534 7.534 7.534 109.47 109.47 109.47
Element x y z (fractional)
Pr  0.000  0.103  0.500
Pr  0.000  0.603  0.500
Pr  0.103  0.500  0.000
Pr  0.397  0.397  0.397
Pr  0.500  0.000  0.103
Pr  0.500  0.000  0.603
Pr  0.603  0.500  0.000
Pr  0.897  0.897  0.897
C  0.049  0.799  0.250
C  0.201  0.951  0.250
C  0.250  0.049  0.799
C  0.250  0.201  0.951
C  0.299  0.549  0.750
C  0.451  0.701  0.750
C  0.549  0.750  0.299
C  0.701  0.750  0.451
C  0.750  0.299  0.549
C  0.750  0.451  0.701
C  0.799  0.250  0.049
C  0.951  0.250  0.201

Most intense lines, 10 to 90 degrees two-theta, in order of rising 2θ:
2θ = 25.07°, I 45
2θ = 29.03°, I 91
2θ = 32.55°, I 100
2θ = 38.73°, I 52
2θ = 49.12°, I 27
2θ = 53.72°, I 66
2θ = 58.07°, I 27
2θ = 70.10°, I 19
2θ = 81.26°, I 19
2θ = 83.07°, I 16



Entry 5:
The following is a calculated X-ray powder pattern of La2ZnBi4. It was derived from a structure optimized by DFT (PBE), using λ = 1.5418 Å (Cu Kα).
Lines closer than 0.1° are merged.

Structural model:
Lattice parameters (Å, degrees): 4.639 4.639 10.250 90.00 90.00 90.00
Element x y z (fractional)
La  0.000  0.500  0.239
La  0.500  0.000  0.761
Zn  0.000  0.000  0.000
Bi  0.000  0.000  0.500
Bi  0.000  0.500  0.844
Bi  0.500  0.000  0.156
Bi  0.500  0.500  0.500

Most intense lines, 10 to 90 degrees two-theta, in order of rising 2θ:
2θ = 25.91°, I 26
2θ = 26.08°, I 33
2θ = 28.57°, I 57
2θ = 32.41°, I 100
2θ = 38.83°, I 51
2θ = 47.37°, I 27
2θ = 48.55°, I 17
2θ = 56.07°, I 18
2θ = 63.83°, I 15
2θ = 66.28°, I 28



> What is the formula in the third record?

Rh2C3N6